(1)
Calculated X-ray powder pattern
Compound: NaTi8O16
Radiation: copper Kα
Structure: a structure optimized by DFT (PBE)
Peak positions follow from Bragg's law for the DFT cell and can differ from measured ones.

Main lines, by angle (2θ from 10° to 90°):
index	2theta	intensity
2 0 0	19.1	92.4
2 0 -2	19.5	100.0
2 0 2	32.7	37.3
2 0 -4	33.3	30.1
0 2 2	35.5	35.9
2 2 0	35.7	22.6
2 2 -2	35.9	22.7
4 2 0	49.8	25.1
4 2 -4	50.3	20.8
0 4 0	62.1	27.6

Structure:
Lattice parameters (Å, degrees): 10.505 5.979 10.781 90.00 118.03 90.00
Space group Cm (No. 8)
Symmetry-distinct sites (fractional):
1 Na 0.000 0.000 0.000 (multiplicity 2)
2 Ti 0.154 0.245 0.398 (multiplicity 4)
3 Ti 0.192 0.249 0.893 (multiplicity 4)
4 Ti 0.287 0.500 0.180 (multiplicity 2)
5 Ti 0.315 0.000 0.186 (multiplicity 2)
6 Ti 0.329 0.500 0.667 (multiplicity 2)
7 Ti 0.342 0.000 0.682 (multiplicity 2)
8 O 0.044 0.500 0.807 (multiplicity 2)
9 O 0.045 0.000 0.812 (multiplicity 2)
10 O 0.135 0.500 0.504 (multiplicity 2)
11 O 0.136 0.000 0.503 (multiplicity 2)
12 O 0.174 0.249 0.080 (multiplicity 4)
13 O 0.214 0.500 0.311 (multiplicity 2)
14 O 0.216 0.000 0.309 (multiplicity 2)
15 O 0.280 0.256 0.771 (multiplicity 4)
16 O 0.306 0.500 0.000 (multiplicity 2)
17 O 0.320 0.000 0.002 (multiplicity 2)
18 O 0.357 0.246 0.574 (multiplicity 4)
19 O 0.447 0.250 0.267 (multiplicity 4)


(2)
Calculated X-ray powder pattern
Compound: Na4Ti7O16
Radiation: copper Kα
Structure: a structure optimized by DFT (PBE)
Peak positions follow from Bragg's law for the DFT cell and can differ from measured ones.

Main lines, by angle (2θ from 10° to 90°):
index	2theta	intensity
1 0 -1	18.4	100.0
1 0 1	18.7	69.0
1 0 -3	32.1	47.8
2 0 0	32.5	24.7
1 0 3	32.7	45.8
0 2 2	35.1	59.1
1 2 1	35.3	31.0
2 2 -2	48.3	28.0
2 2 2	48.9	23.5
3 2 1	59.9	33.1

Structure:
Lattice parameters (Å, degrees): 5.518 6.034 9.583 90.00 91.23 90.00
Space group Pm (No. 6)
Symmetry-distinct sites (fractional):
1 Na 0.000 0.000 0.000 (multiplicity 1)
2 Na 0.040 0.000 0.695 (multiplicity 1)
3 Na 0.522 0.243 0.584 (multiplicity 2)
4 Ti 0.024 0.500 0.691 (multiplicity 1)
5 Ti 0.085 0.252 0.400 (multiplicity 2)
6 Ti 0.518 0.247 0.902 (multiplicity 2)
7 Ti 0.572 0.000 0.199 (multiplicity 1)
8 Ti 0.609 0.500 0.176 (multiplicity 1)
9 O 0.255 0.000 0.479 (multiplicity 1)
10 O 0.261 0.282 0.775 (multiplicity 2)
11 O 0.263 0.500 0.492 (multiplicity 1)
12 O 0.382 0.000 0.010 (multiplicity 1)
13 O 0.394 0.500 0.009 (multiplicity 1)
14 O 0.406 0.251 0.268 (multiplicity 2)
15 O 0.686 0.000 0.814 (multiplicity 1)
16 O 0.738 0.247 0.081 (multiplicity 2)
17 O 0.741 0.500 0.806 (multiplicity 1)
18 O 0.881 0.000 0.312 (multiplicity 1)
19 O 0.905 0.276 0.564 (multiplicity 2)
20 O 0.905 0.500 0.304 (multiplicity 1)